(1)
The following is a calculated powder diffraction line list of BaCaEuWO6. It was derived from DFT lattice parameters and positions (PBE+U), using Cu Kα.
Peak positions follow from Bragg's law for the DFT cell and can differ from measured ones.

Atomic structure:
Cell: 8.5950 8.5950 8.5950 Å, 90.00 90.00 90.00°
Space group F-43m (No. 216)
Unique sites:
Ba: 0.0000 0.0000 0.0000
Ca: 0.0000 0.0000 0.5000
Eu: 0.2500 0.2500 0.2500
W: 0.2500 0.2500 0.7500
O: 0.0211 0.2500 0.7500

Peak list (8 most intense, 2θ from 10° to 80°, in order of rising 2θ)
- 2θ 17.87, I 9, hkl 1 1 1
- 2θ 20.67, I 20, hkl 2 0 0
- 2θ 29.39, I 100, hkl 2 2 0
- 2θ 42.05, I 30, hkl 4 0 0
- 2θ 47.30, I 9, hkl 4 2 0
- 2θ 52.13, I 40, hkl 4 2 2
- 2θ 60.98, I 19, hkl 4 4 0
- 2θ 69.12, I 18, hkl 6 2 0

(2)
The following is a calculated powder diffraction line list of Li3Fe2OF5. It was derived from DFT lattice parameters and positions (PBE+U), using Cu Kα.
Peak positions follow from Bragg's law for the DFT cell and can differ from measured ones.

Atomic structure:
Cell: 5.2523 5.2630 9.4436 Å, 100.50 100.43 109.15°
Space group P1 (No. 1)
Unique sites:
Li: 0.0000 0.0000 0.0000
Li: 0.0730 0.5707 0.1457
Li: 0.3288 0.3208 0.6464
Li: 0.4076 0.9050 0.8039
Li: 0.6468 0.6452 0.2924
Li: 0.7494 0.2454 0.4896
Fe: 0.2426 0.7464 0.4916
Fe: 0.5724 0.0733 0.1463
Fe: 0.8239 0.8269 0.6456
Fe: 0.9028 0.4062 0.8009
O: 0.0788 0.5776 0.6460
O: 0.5775 0.0782 0.6483
F: 0.1500 0.1406 0.8116
F: 0.2114 0.7539 0.9852
F: 0.3378 0.3075 0.1462
F: 0.4095 0.8674 0.3098
F: 0.5111 0.5011 0.4803
F: 0.6611 0.6709 0.8157
F: 0.7774 0.2350 0.9844
F: 0.8068 0.8391 0.1467
F: 0.8912 0.4339 0.3060
F: 0.9815 0.9919 0.4764

Peak list (8 most intense, 2θ from 10° to 80°, in order of rising 2θ)
- 2θ 18.52, I 27, hkl 0 1 0
- 2θ 20.73, I 18, hkl 1 -1 0
- 2θ 23.19, I 61, hkl 1 0 1
- 2θ 23.38, I 60, hkl 0 1 -2
- 2θ 37.84, I 18, hkl -1 2 1
- 2θ 42.16, I 100, hkl 1 1 2
- 2θ 42.57, I 49, hkl 1 1 -4
- 2θ 61.15, I 27, hkl 3 -1 2

(3)
The following is a calculated powder diffraction line list of Ba2Mg2Mn3Tl2O10. It was derived from DFT lattice parameters and positions (PBE+U), using Cu Kα.
Peak positions follow from Bragg's law for the DFT cell and can differ from measured ones.

Atomic structure:
Cell: 3.7504 3.7590 20.2962 Å, 85.94 85.20 89.87°
Space group P1 (No. 1)
Unique sites:
Ba: 0.0000 0.0000 0.0000
Ba: 0.2547 0.2793 0.3990
Mg: 0.0873 0.0897 0.7965
Mg: 0.1572 0.2090 0.6016
Mn: 0.5546 0.5536 0.8765
Mn: 0.6214 0.6855 0.6966
Mn: 0.6909 0.7360 0.5196
Tl: 0.4084 0.3929 0.1425
Tl: 0.8477 0.8401 0.2560
O: 0.0599 0.5587 0.8643
O: 0.1082 0.6796 0.7268
O: 0.1635 0.7199 0.5709
O: 0.3430 0.3063 0.2649
O: 0.5134 0.5162 0.9732
O: 0.5746 0.0767 0.8261
O: 0.6310 0.1967 0.6662
O: 0.6774 0.2325 0.5294
O: 0.7416 0.7704 0.4230
O: 0.9128 0.8660 0.1325

Peak list (8 most intense, 2θ from 10° to 80°, in order of rising 2θ)
- 2θ 28.06, I 35, hkl 0 1 -3
- 2θ 28.27, I 38, hkl 1 0 -3
- 2θ 28.64, I 34, hkl 0 1 4
- 2θ 30.70, I 40, hkl 0 1 -4
- 2θ 30.99, I 76, hkl 0 0 7
- 2θ 31.23, I 43, hkl 1 0 5
- 2θ 31.40, I 38, hkl 0 1 5
- 2θ 33.77, I 100, hkl 1 -1 0

(4)
The following is a calculated powder diffraction line list of NiS2O8. It was derived from DFT lattice parameters and positions (PBE+U), using Cu Kα.
Peak positions follow from Bragg's law for the DFT cell and can differ from measured ones.

Atomic structure:
Cell: 8.4882 8.4882 22.6672 Å, 90.00 90.00 120.00°
Space group R3 (No. 146, hexagonal axes)
Unique sites:
Ni: 0.0000 0.0000 0.0000
Ni: 0.0000 0.0000 0.2074
Ni: 0.0000 0.0000 0.7127
S: 0.0424 0.6673 0.2734
S: 0.0470 0.3742 0.7739
O: 0.0017 0.2040 0.0495
O: 0.0345 0.8256 0.9445
O: 0.0751 0.8450 0.5581
O: 0.0826 0.8536 0.2589
O: 0.1314 0.6706 0.3296
O: 0.1574 0.4586 0.4346
O: 0.1843 0.4397 0.8218
O: 0.1858 0.4284 0.1192

Peak list (8 most intense, 2θ from 10° to 80°, in order of rising 2θ)
- 2θ 12.66, I 17, hkl 1 0 1
- 2θ 14.36, I 48, hkl 0 1 2
- 2θ 19.78, I 33, hkl 1 0 4
- 2θ 24.05, I 100, hkl 2 -1 3
- 2θ 28.96, I 31, hkl 0 2 4
- 2θ 31.71, I 36, hkl 2 -1 6
- 2θ 32.47, I 14, hkl 3 -1 1
- 2θ 52.07, I 13, hkl 3 -1 10

(5)
The following is a calculated powder diffraction line list of Li4Mn3B4O12. It was derived from DFT lattice parameters and positions (PBE+U), using Cu Kα.
Peak positions follow from Bragg's law for the DFT cell and can differ from measured ones.

Atomic structure:
Cell: 5.3398 9.1471 10.8999 Å, 90.00 117.31 90.00°
Space group Pc (No. 7)
Unique sites:
Li: 0.0000 0.0707 0.0000
Li: 0.5245 0.2404 0.0077
Li: 0.9108 0.4085 0.2600
Li: 0.9615 0.2644 0.7844
Mn: 0.4065 0.2542 0.2449
Mn: 0.4433 0.0731 0.7517
Mn: 0.4730 0.4358 0.5049
B: 0.0072 0.4250 0.0095
B: 0.4218 0.4071 0.7596
B: 0.4853 0.0860 0.4915
B: 0.9062 0.0710 0.2432
O: 0.0824 0.4436 0.4723
O: 0.1342 0.0722 0.2137
O: 0.1577 0.2970 0.0197
O: 0.3205 0.2783 0.7792
O: 0.3212 0.0638 0.5579
O: 0.3349 0.4633 0.3010
O: 0.5503 0.2220 0.4628
O: 0.5757 0.0410 0.9487
O: 0.6182 0.4195 0.7073
O: 0.7576 0.1979 0.2250
O: 0.7780 0.4213 0.0374
O: 0.8416 0.0618 0.7851

Peak list (8 most intense, 2θ from 10° to 80°, in order of rising 2θ)
- 2θ 18.70, I 100, hkl 1 0 0
- 2θ 19.26, I 24, hkl 1 1 -1
- 2θ 20.75, I 51, hkl 0 1 2
- 2θ 30.74, I 28, hkl 0 3 1
- 2θ 33.59, I 19, hkl 2 0 -2
- 2θ 33.86, I 59, hkl 1 3 -1
- 2θ 37.13, I 57, hkl 0 0 4
- 2θ 52.94, I 21, hkl 3 1 -2